(1)
Diffraction record for Ba2V3HO9. The powder diffractogram is calculated, not measured: it uses a structure optimized by DFT (PBE+U) and Cu Kα (λ = 1.5418 Å).

Crystal structure
```
data_Ba2V3HO9
_cell_length_a 8.002
_cell_length_b 6.275
_cell_length_c 9.289
_cell_angle_alpha 90.00
_cell_angle_beta 112.73
_cell_angle_gamma 90.00
_space_group_name_H-M_alt 'P 1 21/m 1'
_space_group_IT_number 11
loop_
_space_group_symop_operation_xyz
'x,y,z'
'-x,-y,-z'
'-x,y+1/2,-z'
'x,-y+1/2,z'
loop_
_atom_site_label
_atom_site_fract_x
_atom_site_fract_y
_atom_site_fract_z
Ba1 0.179 0.250 0.088
Ba2 0.236 0.750 0.745
V1 0.064 0.750 0.327
V2 0.453 0.750 0.166
V3 0.500 0.000 0.500
H1 0.229 0.250 0.475
O1 0.002 0.530 0.207
O2 0.048 0.250 0.549
O3 0.231 0.750 0.041
O4 0.307 0.750 0.450
O5 0.326 0.250 0.433
O6 0.420 0.250 0.945
O7 0.495 0.512 0.280
```

Main lines, low angle first (10° ≤ 2θ ≤ 80°):
h k l  2θ/deg  I (rel.)
0 1 1  17.52  159
1 1 1  23.47  187
2 1 -1  26.44  1000
0 2 0  28.45  390
1 0 -3  28.84  556
1 1 2  31.33  646
2 2 0  37.63  229
1 2 -3  40.95  300
3 1 -4  46.48  188
3 2 1  51.45  231

=====

(2)
Diffraction record for LiVCo3P6O24. The powder diffractogram is calculated, not measured: it uses a structure optimized by DFT (PBE+U) and Cu Kα (λ = 1.5418 Å).

Crystal structure
```
data_LiVCo3P6O24
_cell_length_a 8.5528
_cell_length_b 8.5528
_cell_length_c 21.3048
_cell_angle_alpha 90.00
_cell_angle_beta 90.00
_cell_angle_gamma 120.00
_space_group_name_H-M_alt 'R 3'
_space_group_IT_number 146
_space_group_name_Hall 'R 3'
loop_
_atom_site_label
_atom_site_fract_x
_atom_site_fract_y
_atom_site_fract_z
Li1 0.0000 0.0000 0.0000
V1 0.0000 0.0000 0.1548
Co1 0.0000 0.0000 0.3751
Co2 0.0000 0.0000 0.6493
Co3 0.0000 0.0000 0.8679
P1 0.0052 0.7207 0.7620
P2 0.0488 0.3759 0.9293
O1 0.0013 0.1824 0.2029
O2 0.0200 0.1812 0.9276
O3 0.0277 0.8293 0.4255
O4 0.0385 0.8334 0.7023
O5 0.1528 0.6817 0.4896
O6 0.1577 0.4627 0.9883
O7 0.1701 0.6877 0.7658
O8 0.1712 0.4673 0.2621
```

Main lines, low angle first (10° ≤ 2θ ≤ 80°):
h k l  2θ/deg  I (rel.)
0 1 2  14.57  315
1 0 4  20.54  635
1 1 0  20.77  365
1 1 3  24.30  1000
0 2 4  29.37  488
3 -1 1  32.25  167
1 1 6  32.78  288
3 0 0  36.39  165
3 -2 8  47.10  177
4 1 0  56.93  239